No. 1
Starting from a crystal structure in Alexandria, relaxed with GGA-PBE, the powder diffractogram of Ac3Ag2As4Pd2 was simulated for Cu Ka.

Unit cell a=4.4912 b=4.4912 c=15.5876 alpha=90.00 beta=90.00 gamma=120.00
Space group P-3m1 (No. 164)
Inequivalent atoms, fractional coordinates:
Ac: 0.0000 0.0000 0.0000 x1
Ac: 0.0000 0.0000 0.2758 x2
Ag: 0.3333 0.6667 0.5631 x2
As: 0.3333 0.6667 0.3871 x2
As: 0.3333 0.6667 0.8654 x2
Pd: 0.3333 0.6667 0.1382 x2

Main lines, in order of rising 2θ (2θ from 10° to 80°):
d (Å)	2θ/deg	intensity	(hkl)
3.480	25.6	189	1 0 2
3.114	28.7	682	1 0 3
2.753	32.5	1000	0 1 4
2.246	40.2	808	1 1 0
2.227	40.5	177	0 0 7
1.821	50.1	149	0 2 3
1.740	52.6	288	2 0 4
1.581	58.4	381	1 1 7
1.376	68.2	253	1 2 4
1.296	73.0	138	3 0 0

No. 2
Starting from a crystal structure in Alexandria, relaxed with GGA-PBE, the powder diffractogram of AcAg2AsSe4 was simulated for Cu Ka.

Unit cell a=7.2117 b=7.4408 c=7.9637 alpha=90.00 beta=90.00 gamma=90.00
Space group I222 (No. 23)
Inequivalent atoms, fractional coordinates:
Ac: 0.0000 0.0000 0.0000 x2
Ag: 0.0000 0.5000 0.1858 x4
As: 0.0000 0.0000 0.5000 x2
Se: 0.2076 0.2047 0.3123 x8

Main lines, in order of rising 2θ (2θ from 10° to 80°):
d (Å)	2θ/deg	intensity	(hkl)
5.346	16.6	289	1 0 1
3.157	28.3	1000	1 1 2
3.054	29.2	352	1 2 1
2.718	32.9	157	0 2 2
2.589	34.6	712	2 2 0
2.500	35.9	216	0 1 3
2.021	44.8	325	1 3 2
1.983	45.7	322	3 1 2
1.859	49.0	270	0 4 0
1.619	56.9	176	2 3 3

No. 3
Starting from a crystal structure in Alexandria, relaxed with GGA-PBE, the powder diffractogram of Ac7Ag2Au2 was simulated for Cu Ka.

Unit cell a=8.3860 b=12.2319 c=8.0209 alpha=90.00 beta=90.00 gamma=90.00
Space group Cmmm (No. 65)
Inequivalent atoms, fractional coordinates:
Ac: 0.0000 0.0000 0.0000 x2
Ac: 0.0000 0.5000 0.2587 x4
Ac: 0.2500 0.2500 0.2751 x8
Ag: 0.1709 0.0000 0.5000 x4
Au: 0.0000 0.2933 0.0000 x4

Main lines, in order of rising 2θ (2θ from 10° to 80°):
d (Å)	2θ/deg	intensity	(hkl)
3.716	23.9	390	2 0 1
3.463	25.7	912	2 2 0
3.058	29.2	624	0 4 0
2.898	30.9	227	2 0 2
2.706	33.1	528	1 3 2
2.619	34.2	1000	2 2 2
2.097	43.1	198	4 0 0
2.005	45.2	199	0 0 4
1.729	53.0	174	4 4 0
1.677	54.7	182	0 4 4

No. 4
Starting from a crystal structure in Alexandria, relaxed with GGA-PBE, the powder diffractogram of Ac2AgAu7 was simulated for Cu Ka.

Unit cell a=4.2584 b=4.2584 c=12.9805 alpha=90.00 beta=90.00 gamma=90.00
Space group P-4m2 (No. 115)
Inequivalent atoms, fractional coordinates:
Ac: 0.0000 0.5000 0.2469 x2
Ag: 0.0000 0.0000 0.5000 x1
Au: 0.0000 0.0000 0.0000 x1
Au: 0.0000 0.5000 0.6445 x2
Au: 0.0000 0.5000 0.8556 x2
Au: 0.5000 0.5000 0.0000 x1
Au: 0.5000 0.5000 0.5000 x1

Main lines, in order of rising 2θ (2θ from 10° to 80°):
d (Å)	2θ/deg	intensity	(hkl)
3.035	29.4	432	1 0 3
2.731	32.8	1000	1 1 2
2.217	40.7	467	1 0 5
2.207	40.9	289	1 1 4
2.129	42.5	522	2 0 0
1.743	52.5	178	2 1 3
1.536	60.3	300	2 1 5
1.506	61.6	176	2 2 0
1.319	71.6	217	3 1 2
1.291	73.4	142	2 0 8

No. 5
Starting from a crystal structure in Alexandria, relaxed with GGA-PBE, the powder diffractogram of AcAg2Au6 was simulated for Cu Ka.

Unit cell a=5.6002 b=5.6002 c=8.0707 alpha=90.00 beta=90.00 gamma=120.00
Space group P6/mmm (No. 191)
Inequivalent atoms, fractional coordinates:
Ac: 0.0000 0.0000 0.0000 x1
Ag: 0.3333 0.6667 0.5000 x2
Au: 0.0000 0.5000 0.2082 x6

Main lines, in order of rising 2θ (2θ from 10° to 80°):
d (Å)	2θ/deg	intensity	(hkl)
8.071	11.0	297	0 0 1
4.850	18.3	282	1 0 0
3.102	28.8	462	1 0 2
2.425	37.1	1000	2 0 0
2.353	38.3	410	1 0 3
2.322	38.8	432	2 0 1
2.301	39.2	634	1 1 2
2.079	43.5	645	2 0 2
1.400	66.8	317	2 2 0
1.344	70.0	436	2 0 5

No. 6
Starting from a crystal structure in Alexandria, relaxed with GGA-PBE, the powder diffractogram of Ac6Ag5Au was simulated for Cu Ka.

Unit cell a=5.6175 b=16.8252 c=7.8492 alpha=90.00 beta=90.00 gamma=90.00
Space group Cmmm (No. 65)
Inequivalent atoms, fractional coordinates:
Ac: 0.0000 0.0000 0.2459 x4
Ac: 0.0000 0.3356 0.2487 x8
Ag: 0.0000 0.1673 0.5000 x4
Ag: 0.0000 0.1708 0.0000 x4
Ag: 0.0000 0.5000 0.5000 x2
Au: 0.0000 0.5000 0.0000 x2

Main lines, in order of rising 2θ (2θ from 10° to 80°):
d (Å)	2θ/deg	intensity	(hkl)
3.969	22.4	85	1 3 0
2.806	31.9	507	2 0 0
2.791	32.1	1000	1 3 2
1.984	45.7	188	2 6 0
1.962	46.3	91	0 0 4
1.617	56.9	392	3 3 2
1.608	57.3	193	2 0 4
1.395	67.1	120	2 6 4
1.255	75.8	84	4 6 0
1.254	75.9	84	3 9 2

Repeat the sixth record exactly.
Starting from a crystal structure in Alexandria, relaxed with GGA-PBE, the powder diffractogram of Ac6Ag5Au was simulated for Cu Ka.

Unit cell a=5.6175 b=16.8252 c=7.8492 alpha=90.00 beta=90.00 gamma=90.00
Space group Cmmm (No. 65)
Inequivalent atoms, fractional coordinates:
Ac: 0.0000 0.0000 0.2459 x4
Ac: 0.0000 0.3356 0.2487 x8
Ag: 0.0000 0.1673 0.5000 x4
Ag: 0.0000 0.1708 0.0000 x4
Ag: 0.0000 0.5000 0.5000 x2
Au: 0.0000 0.5000 0.0000 x2

Main lines, in order of rising 2θ (2θ from 10° to 80°):
d (Å)	2θ/deg	intensity	(hkl)
3.969	22.4	85	1 3 0
2.806	31.9	507	2 0 0
2.791	32.1	1000	1 3 2
1.984	45.7	188	2 6 0
1.962	46.3	91	0 0 4
1.617	56.9	392	3 3 2
1.608	57.3	193	2 0 4
1.395	67.1	120	2 6 4
1.255	75.8	84	4 6 0
1.254	75.9	84	3 9 2